[1]
The following is a computed powder diffraction line list of Ba4Tc. It was derived from a structure optimized by DFT (PBE), using Cu Kα X-rays.
No peak broadening, texture or thermal motion is included.

Cell and atoms:
a b c (Å): 6.244 6.244 6.244
angles (deg): 90.00 90.00 90.00
Element x y z (fractional)
Ba 0.000 0.000 0.000
Ba 0.000 0.500 0.500
Ba 0.500 0.000 0.500
Ba 0.500 0.500 0.000
Tc 0.500 0.500 0.500

Principal peaks in the range 2θ = 10–80°, low angle first:
2θ/deg, I/Imax
24.7, 88
28.6, 100
40.9, 75
48.3, 42
50.6, 27
67.0, 35

=====

[2]
The following is a computed powder diffraction line list of Er3Sn4. It was derived from a structure optimized by DFT (PBE), using Cu Kα X-rays.
No peak broadening, texture or thermal motion is included.

Cell and atoms:
a b c (Å): 6.078 6.078 15.447
angles (deg): 90.00 90.00 138.45
Element x y z (fractional)
Er 0.068 0.932 0.750
Er 0.338 0.662 0.598
Er 0.338 0.662 0.902
Er 0.662 0.338 0.098
Er 0.662 0.338 0.402
Er 0.932 0.068 0.250
Sn 0.000 0.000 0.000
Sn 0.000 0.000 0.500
Sn 0.198 0.802 0.250
Sn 0.371 0.629 0.108
Sn 0.371 0.629 0.392
Sn 0.629 0.371 0.608
Sn 0.629 0.371 0.892
Sn 0.802 0.198 0.750

Principal peaks in the range 2θ = 10–80°, low angle first:
2θ/deg, I/Imax
31.4, 57
32.0, 30
32.1, 100
33.6, 26
39.3, 41
41.9, 33

=====

[3]
The following is a computed powder diffraction line list of PrAs2PtRh2. It was derived from a structure optimized by DFT (PBE), using Cu Kα X-rays.
No peak broadening, texture or thermal motion is included.

Cell and atoms:
a b c (Å): 6.363 9.389 4.225
angles (deg): 90.00 90.00 90.00
Element x y z (fractional)
Pr 0.000 0.000 0.000
Pr 0.500 0.500 0.500
As 0.242 0.300 0.000
As 0.258 0.800 0.500
As 0.742 0.200 0.500
As 0.758 0.700 0.000
Pt 0.000 0.500 0.000
Pt 0.500 0.000 0.500
Rh 0.061 0.320 0.500
Rh 0.439 0.820 0.000
Rh 0.561 0.180 0.000
Rh 0.939 0.680 0.500

Principal peaks in the range 2θ = 10–80°, low angle first:
2θ/deg, I/Imax
16.8, 20
31.8, 100
34.0, 25
42.8, 25
46.5, 22
52.0, 26

=====

[4]
The following is a computed powder diffraction line list of CoNi2B. It was derived from a structure optimized by DFT (PBE), using Cu Kα X-rays.
No peak broadening, texture or thermal motion is included.

Cell and atoms:
a b c (Å): 4.077 4.309 5.089
angles (deg): 81.73 80.63 61.82
Element x y z (fractional)
Co 0.000 0.000 0.000
Co 0.326 0.269 0.204
Ni 0.108 0.492 0.707
Ni 0.457 0.821 0.582
Ni 0.655 0.624 0.109
Ni 0.804 0.177 0.511
B 0.534 0.052 0.853
B 0.950 0.728 0.343

Principal peaks in the range 2θ = 10–80°, low angle first:
2θ/deg, I/Imax
41.7, 100
42.5, 81
45.1, 72
45.5, 75
46.3, 80
48.2, 75

=====

[5]
The following is a computed powder diffraction line list of Pm4Sm2Er3. It was derived from a structure optimized by DFT (PBE), using Cu Kα X-rays.
No peak broadening, texture or thermal motion is included.

Cell and atoms:
a b c (Å): 3.615 3.615 26.684
angles (deg): 90.00 90.00 120.00
Element x y z (fractional)
Pm 0.000 0.000 0.000
Pm 0.000 0.000 0.213
Pm 0.333 0.667 0.327
Pm 0.333 0.667 0.542
Sm 0.000 0.000 0.655
Sm 0.000 0.000 0.867
Er 0.000 0.000 0.434
Er 0.333 0.667 0.105
Er 0.333 0.667 0.762

Principal peaks in the range 2θ = 10–80°, low angle first:
2θ/deg, I/Imax
28.5, 45
30.1, 45
31.6, 59
33.2, 100
50.5, 36
59.9, 40